[1]
The following is a computed powder diffraction line list of ZnCu2Ni. It was derived from a crystal structure in the Materials Project, relaxed with GGA-PBE, using Cu Kα (λ = 1.5418 Å).
No peak broadening, texture or thermal motion is included.

Atomic structure:
```
ZnCu2Ni
1.0
1.297 0.749 8.240
-1.297 0.749 8.240
0.000 -1.498 8.240
Zn Cu Ni
1 2 1
Direct
0.000 0.000 0.000
0.503 0.503 0.503
0.753 0.753 0.753
0.251 0.251 0.251
```

Peak list (5 most intense, 10 to 80 degrees two-theta, low angle first)
2θ 42.83, d 2.112, I = 100; 2θ 43.95, d 2.060, I = 31; 2θ 50.20, d 1.817, I = 61; 2θ 72.92, d 1.297, I = 18; 2θ 74.54, d 1.273, I = 17

***

[2]
The following is a computed powder diffraction line list of Fe2Pd3Au3. It was derived from a crystal structure in the Materials Project, relaxed with GGA-PBE, using Cu Kα (λ = 1.5418 Å).
No peak broadening, texture or thermal motion is included.

Atomic structure:
```
Fe2Pd3Au3
1.0
3.985 0.000 0.000
0.000 3.989 0.000
0.000 0.000 7.783
Fe Pd Au
2 3 3
Direct
0.000 0.000 0.241
0.000 0.000 0.759
0.000 0.500 0.000
0.000 0.500 0.500
0.500 0.000 0.000
0.500 0.000 0.500
0.500 0.500 0.247
0.500 0.500 0.753
```

Peak list (10 most intense, 10 to 80 degrees two-theta, low angle first)
2θ 22.31, d 3.986, I = 16; 2θ 32.14, d 2.785, I = 14; 2θ 39.47, d 2.283, I = 100; 2θ 45.51, d 1.993, I = 33; 2θ 46.68, d 1.946, I = 15; 2θ 51.23, d 1.783, I = 4; 2θ 56.81, d 1.621, I = 6; 2θ 66.32, d 1.409, I = 11; 2θ 67.24, d 1.392, I = 20; 2θ 79.97, d 1.200, I = 13

***

[3]
The following is a computed powder diffraction line list of MgCd. It was derived from a crystal structure in the Materials Project, relaxed with GGA-PBE, using Cu Kα (λ = 1.5418 Å).
No peak broadening, texture or thermal motion is included.

Atomic structure:
```
MgCd
1.0
3.244 0.000 0.000
0.000 3.244 0.000
0.000 0.000 4.122
Mg Cd
1 1
Direct
0.000 0.000 0.000
0.500 0.500 0.500
```

Peak list (10 most intense, 10 to 80 degrees two-theta, low angle first)
2θ 21.56, d 4.122, I = 35; 2θ 27.50, d 3.244, I = 38; 2θ 35.21, d 2.549, I = 100; 2θ 39.28, d 2.294, I = 37; 2θ 43.93, d 2.061, I = 13; 2θ 45.24, d 2.004, I = 19; 2θ 52.61, d 1.740, I = 12; 2θ 56.76, d 1.622, I = 12; 2θ 60.38, d 1.533, I = 20; 2θ 68.58, d 1.368, I = 26

***

[4]
The following is a computed powder diffraction line list of Te4Mo3WSe4. It was derived from a crystal structure in the Materials Project, relaxed with GGA-PBE, using Cu Kα (λ = 1.5418 Å).
No peak broadening, texture or thermal motion is included.

Atomic structure:
```
Te4Mo3WSe4
1.0
3.439 0.000 0.000
-1.719 2.978 0.000
0.000 0.000 39.136
Te Mo W Se
4 3 1 4
Direct
0.000 0.000 0.000
0.000 0.000 0.095
0.333 0.667 0.812
0.333 0.667 0.907
0.000 0.000 0.235
0.000 0.000 0.859
0.333 0.667 0.047
0.333 0.667 0.423
0.000 0.000 0.381
0.000 0.000 0.465
0.333 0.667 0.193
0.333 0.667 0.277
```

Peak list (10 most intense, 10 to 80 degrees two-theta, low angle first)
2θ 11.30, d 7.827, I = 100; 2θ 13.58, d 6.523, I = 15; 2θ 30.02, d 2.977, I = 52; 2θ 35.28, d 2.544, I = 100; 2θ 37.97, d 2.370, I = 15; 2θ 42.71, d 2.117, I = 65; 2θ 44.45, d 2.038, I = 19; 2θ 53.29, d 1.719, I = 39; 2θ 65.53, d 1.424, I = 16; 2θ 75.19, d 1.264, I = 18

***

[5]
The following is a computed powder diffraction line list of Pr6Cu8P8O3. It was derived from a crystal structure in the Materials Project, relaxed with GGA-PBE, using Cu Kα (λ = 1.5418 Å).
No peak broadening, texture or thermal motion is included.

Atomic structure:
```
Pr6Cu8P8O3
1.0
2.821 -13.248 0.000
2.821 13.248 0.000
0.000 0.000 5.642
Pr Cu P O
6 8 8 3
Direct
0.000 0.500 0.750
0.186 0.287 0.237
0.287 0.186 0.763
0.500 0.000 0.250
0.713 0.814 0.763
0.814 0.713 0.237
0.155 0.845 0.000
0.155 0.845 0.500
0.344 0.656 0.500
0.345 0.655 0.000
0.655 0.345 0.000
0.656 0.344 0.500
0.845 0.155 0.000
0.845 0.155 0.500
0.043 0.457 0.249
0.147 0.361 0.746
0.361 0.147 0.254
0.457 0.043 0.751
0.543 0.957 0.751
0.639 0.853 0.254
0.853 0.639 0.746
0.957 0.543 0.249
0.000 0.000 0.000
0.000 0.000 0.500
0.500 0.500 0.000
```

Peak list (10 most intense, 10 to 80 degrees two-theta, low angle first)
2θ 24.48, d 3.636, I = 74; 2θ 32.61, d 2.746, I = 100; 2θ 33.83, d 2.650, I = 34; 2θ 34.56, d 2.596, I = 60; 2θ 37.84, d 2.377, I = 97; 2θ 45.47, d 1.995, I = 68; 2θ 50.27, d 1.815, I = 32; 2θ 57.06, d 1.614, I = 39; 2θ 57.86, d 1.594, I = 28; 2θ 70.09, d 1.343, I = 22

***

[6]
The following is a computed powder diffraction line list of Al5Sb3O16. It was derived from a crystal structure in the Materials Project, relaxed with GGA-PBE, using Cu Kα (λ = 1.5418 Å).
No peak broadening, texture or thermal motion is included.

Atomic structure:
```
Al5Sb3O16
1.0
4.766 -5.822 0.000
4.766 5.822 0.000
-0.086 0.000 4.525
Al Sb O
5 3 16
Direct
0.000 0.000 0.000
0.136 0.387 0.999
0.387 0.136 0.999
0.613 0.864 0.001
0.864 0.613 0.001
0.231 0.769 0.500
0.500 0.500 0.500
0.769 0.231 0.500
0.025 0.790 0.756
0.082 0.590 0.211
0.170 0.170 0.819
0.210 0.975 0.244
0.278 0.542 0.713
0.348 0.348 0.200
0.410 0.918 0.789
0.458 0.722 0.287
0.542 0.278 0.713
0.590 0.082 0.211
0.652 0.652 0.800
0.722 0.458 0.287
0.790 0.025 0.756
0.830 0.830 0.181
0.918 0.410 0.789
0.975 0.210 0.244
```

Peak list (10 most intense, 10 to 80 degrees two-theta, low angle first)
2θ 18.62, d 4.765, I = 84; 2θ 19.62, d 4.525, I = 36; 2θ 26.91, d 3.313, I = 98; 2θ 27.44, d 3.251, I = 100; 2θ 31.68, d 2.824, I = 34; 2θ 36.16, d 2.484, I = 53; 2θ 36.71, d 2.448, I = 53; 2θ 41.29, d 2.187, I = 54; 2θ 54.60, d 1.681, I = 33; 2θ 55.18, d 1.665, I = 43

***

[7]
The following is a computed powder diffraction line list of Nd3GaN. It was derived from a crystal structure in the Materials Project, relaxed with GGA-PBE, using Cu Kα (λ = 1.5418 Å).
No peak broadening, texture or thermal motion is included.

Atomic structure:
```
Nd3GaN
1.0
5.505 0.000 0.000
0.000 5.505 0.000
0.000 0.000 5.505
Nd Ga N
3 1 1
Direct
0.000 0.000 0.500
0.000 0.500 0.000
0.500 0.000 0.000
0.000 0.000 0.000
0.500 0.500 0.500
```

Peak list (10 most intense, 10 to 80 degrees two-theta, low angle first)
2θ 16.10, d 5.505, I = 83; 2θ 28.07, d 3.178, I = 100; 2θ 32.53, d 2.753, I = 99; 2θ 36.50, d 2.462, I = 45; 2θ 46.67, d 1.946, I = 72; 2θ 49.68, d 1.835, I = 24; 2θ 55.35, d 1.660, I = 45; 2θ 58.04, d 1.589, I = 25; 2θ 75.24, d 1.263, I = 18; 2θ 77.55, d 1.231, I = 31

***

[8]
The following is a computed powder diffraction line list of Na2LiAuCl6. It was derived from a crystal structure in the Materials Project, relaxed with GGA-PBE, using Cu Kα (λ = 1.5418 Å).
No peak broadening, texture or thermal motion is included.

Atomic structure:
```
Na2LiAuCl6
1.0
0.000 4.990 4.990
4.990 0.000 4.990
4.990 4.990 0.000
Na Li Au Cl
2 1 1 6
Direct
0.250 0.250 0.250
0.750 0.750 0.750
0.000 0.000 0.000
0.500 0.500 0.500
0.250 0.250 0.750
0.250 0.750 0.250
0.250 0.750 0.750
0.750 0.250 0.250
0.750 0.250 0.750
0.750 0.750 0.250
```

Peak list (10 most intense, 10 to 80 degrees two-theta, low angle first)
2θ 15.38, d 5.762, I = 100; 2θ 17.78, d 4.990, I = 80; 2θ 25.24, d 3.528, I = 42; 2θ 29.69, d 3.009, I = 66; 2θ 36.00, d 2.495, I = 58; 2θ 39.36, d 2.289, I = 32; 2θ 40.42, d 2.231, I = 39; 2θ 47.33, d 1.921, I = 25; 2θ 51.82, d 1.764, I = 38; 2θ 54.39, d 1.687, I = 25